Structure and simulated XRD peak list of ThPaIrSe (a cell relaxed with PBE; a wavelength of 1.5418 Å).

Structure:
```
4
Lattice="2.002 1.156 7.445 -2.002 1.156 7.445 0.000 -2.311 7.445" Properties=species:S:1:pos:R:3 pbc="T T T"
Th 0.000 0.000 0.000
Pa 0.000 0.000 4.170
Ir 0.000 0.000 13.118
Se 0.000 0.000 17.046
```

Top 12 peaks for 2θ from 10° to 80°, low angle first:
11.89°, I = 28
26.01°, I = 10
26.93°, I = 37
30.34°, I = 9
32.69°, I = 100
38.34°, I = 31
45.30°, I = 46
48.48°, I = 25
56.98°, I = 21
68.52°, I = 9
68.88°, I = 17
75.62°, I = 19

Structure and simulated XRD peak list of Ce2YCd8 (a cell relaxed with PBE; a wavelength of 1.5418 Å).

Structure:
```
11
Lattice="4.225 -7.942 0.000 4.225 7.942 0.000 -3.399 0.000 4.146" Properties=species:S:1:pos:R:3 pbc="T T T"
Ce 4.225 4.917 0.000
Ce 4.225 -4.917 0.000
Y 2.525 0.000 2.073
Cd -2.529 0.000 3.139
Cd -0.309 1.989 3.200
Cd 2.525 3.165 2.073
Cd -0.309 -1.989 3.200
Cd 5.359 1.989 0.946
Cd 2.525 -3.165 2.073
Cd 5.359 -1.989 0.946
Cd 7.579 0.000 1.007
```

Top 12 peaks for 2θ from 10° to 80°, low angle first:
32.59°, I = 81
32.77°, I = 100
33.43°, I = 39
33.86°, I = 18
35.34°, I = 27
35.58°, I = 69
36.40°, I = 78
36.68°, I = 20
40.61°, I = 17
45.22°, I = 27
56.32°, I = 18
65.06°, I = 34

Structure and simulated XRD peak list of Pr3Au2 (a cell relaxed with PBE; a wavelength of 1.5418 Å).

Structure:
```
5
Lattice="-1.873 1.873 10.136 1.873 -1.873 10.136 1.873 1.873 -10.136" Properties=species:S:1:pos:R:3 pbc="T T T"
Pr 0.000 0.000 0.000
Pr 0.000 0.000 3.706
Pr 0.000 0.000 16.565
Au 0.000 0.000 8.255
Au 0.000 0.000 12.016
```

Top 12 peaks for 2θ from 10° to 80°, low angle first:
17.50°, I = 5
32.54°, I = 100
33.84°, I = 51
39.32°, I = 11
44.70°, I = 7
48.60°, I = 19
57.22°, I = 14
59.72°, I = 36
64.23°, I = 5
65.54°, I = 7
68.16°, I = 8
71.18°, I = 6

Structure and simulated XRD peak list of LiPaAuO4 (a cell relaxed with PBE; a wavelength of 1.5418 Å).

Structure:
```
14
Lattice="-3.087 3.438 5.074 3.087 -3.438 5.074 3.087 3.438 -5.074" Properties=species:S:1:pos:R:3 pbc="T T T"
Li 0.000 1.719 1.517
Li 3.087 1.719 3.557
Pa 3.087 0.000 0.000
Pa 0.000 0.000 5.074
Au 1.544 1.719 -2.537
Au 1.544 -1.719 2.537
O 3.087 -0.174 2.226
O 3.087 3.264 -2.226
O 1.753 1.719 0.332
O 4.422 1.719 0.332
O -1.335 1.719 4.742
O 1.335 1.719 4.742
O 0.000 0.174 7.301
O 0.000 3.612 2.848
```

Top 12 peaks for 2θ from 10° to 80°, low angle first:
15.57°, I = 76
16.81°, I = 100
29.43°, I = 24
30.12°, I = 21
31.05°, I = 43
31.43°, I = 53
33.01°, I = 26
33.99°, I = 43
35.38°, I = 32
39.22°, I = 51
40.15°, I = 16
53.84°, I = 39

Structure and simulated XRD peak list of Tb2Ni15Ge2 (a cell relaxed with PBE; a wavelength of 1.5418 Å).

Structure:
```
19
Lattice="4.176 2.411 4.085 -4.176 2.411 4.085 0.000 -4.822 4.085" Properties=species:S:1:pos:R:3 pbc="T T T"
Tb 0.000 0.000 1.840
Tb 0.000 0.000 10.416
Ni -2.088 -1.205 4.085
Ni 0.000 -2.403 3.952
Ni -2.081 1.202 3.952
Ni -1.259 -2.181 6.128
Ni -2.518 0.000 6.128
Ni -2.081 -1.202 8.304
Ni -2.088 1.205 8.171
Ni 1.259 -2.181 6.128
Ni 0.000 2.411 4.085
Ni -1.259 2.181 6.128
Ni 2.081 1.202 3.952
Ni 2.518 0.000 6.128
Ni 1.259 2.181 6.128
Ni 2.081 -1.202 8.304
Ni 0.000 2.403 8.304
Ge 0.000 0.000 4.839
Ge 0.000 0.000 7.417
```

Top 12 peaks for 2θ from 10° to 80°, low angle first:
30.61°, I = 26
31.72°, I = 19
37.30°, I = 49
38.51°, I = 36
43.34°, I = 65
43.59°, I = 100
44.37°, I = 56
49.00°, I = 29
63.15°, I = 10
63.76°, I = 27
71.61°, I = 20
79.53°, I = 27

Structure and simulated XRD peak list of Nb4Si5Tc2 (a cell relaxed with PBE; a wavelength of 1.5418 Å).

Structure:
```
22
Lattice="-3.955 8.218 2.548 3.955 -8.218 2.548 3.955 8.218 -2.548" Properties=species:S:1:pos:R:3 pbc="T T T"
Nb 5.897 1.036 0.000
Nb 0.900 2.321 0.000
Nb 4.855 5.897 0.000
Nb 1.942 7.183 0.000
Nb 2.013 1.036 2.548
Nb -0.900 2.321 2.548
Nb 3.056 5.897 2.548
Nb -1.942 7.183 2.548
Si 3.312 1.114 0.000
Si 2.316 -4.666 2.548
Si 0.000 0.000 1.274
Si 2.316 4.666 0.000
Si 3.312 -1.114 2.548
Si 0.643 9.332 0.000
Si 1.639 3.553 2.548
Si 0.000 0.000 3.822
Si 1.639 12.884 0.000
Si 0.643 7.105 2.548
Tc 3.955 -3.196 1.274
Tc 3.955 3.196 1.274
Tc 0.000 5.022 1.274
Tc 0.000 11.415 1.274
```

Top 12 peaks for 2θ from 10° to 80°, low angle first:
24.98°, I = 32
29.42°, I = 15
30.14°, I = 29
36.93°, I = 12
37.87°, I = 28
39.03°, I = 36
39.80°, I = 24
40.04°, I = 100
40.68°, I = 55
42.19°, I = 33
44.05°, I = 13
62.65°, I = 14

Structure and simulated XRD peak list of Ca2Nd3In3 (a cell relaxed with PBE; a wavelength of 1.5418 Å).

Structure:
```
8
Lattice="-1.927 2.803 11.604 1.927 -2.803 11.604 1.927 2.803 -11.604" Properties=species:S:1:pos:R:3 pbc="T T T"
Ca 0.000 0.000 5.410
Ca 0.000 0.000 17.797
Nd 0.000 0.000 0.000
Nd 1.927 0.000 8.862
Nd 0.000 2.803 2.742
In 1.927 0.000 2.830
In 0.000 0.000 11.604
In 0.000 2.803 8.774
```

Top 12 peaks for 2θ from 10° to 80°, low angle first:
30.82°, I = 26
31.93°, I = 26
32.13°, I = 100
36.61°, I = 8
44.97°, I = 18
47.17°, I = 9
55.65°, I = 16
57.03°, I = 19
57.42°, I = 9
58.10°, I = 9
67.22°, I = 11
78.09°, I = 7

Structure and simulated XRD peak list of SmErAl2Zn2 (a cell relaxed with PBE; a wavelength of 1.5418 Å).

Structure:
```
6
Lattice="4.493 0.000 0.000 -2.247 3.891 0.000 0.000 0.000 7.252" Properties=species:S:1:pos:R:3 pbc="T T T"
Sm 0.000 0.000 0.000
Er 0.000 0.000 3.626
Al 0.000 2.594 5.323
Al 2.247 1.297 1.929
Zn 0.000 2.594 1.975
Zn 2.247 1.297 5.277
```

Top 12 peaks for 2θ from 10° to 80°, low angle first:
22.85°, I = 37
25.99°, I = 7
33.79°, I = 100
40.14°, I = 48
46.69°, I = 6
50.33°, I = 7
53.45°, I = 27
55.95°, I = 8
63.23°, I = 5
66.24°, I = 19
68.90°, I = 25
72.93°, I = 8